(1)
Diffraction record for Zr3TaSi2. The powder X-ray diffraction pattern is simulated, not measured: it uses a DFT-relaxed cell (GGA-PBE, OQMD) and Cu Kα X-rays.
Intensities are scaled so that the largest is 100.

Principal peaks in the range 10 to 90 degrees two-theta, by intensity:
two_theta  d [Å]  I_rel
35.02  2.562  100
35.57  2.524  81
44.37  2.042  41
34.11  2.629  32
39.65  2.273  22
43.74  2.070  20

Structural model:
```
data_Zr3TaSi2
_chemical_formula_sum 'Zr3 Ta1 Si2'
_space_group_name_H-M_alt 'P 1'
_space_group_IT_number 1
_cell_length_a 6.498
_cell_length_b 5.342
_cell_length_c 5.245
_cell_angle_alpha 75.72
_cell_angle_beta 52.81
_cell_angle_gamma 51.46
loop_
_space_group_symop_operation_xyz
'x,y,z'
loop_
_atom_site_label
_atom_site_type_symbol
_atom_site_fract_x
_atom_site_fract_y
_atom_site_fract_z
Zr1 Zr 0.000 0.000 0.000
Zr2 Zr 0.498 0.816 0.184
Zr3 Zr 0.816 0.498 0.502
Ta1 Ta 0.316 0.316 0.684
Si1 Si 0.404 0.404 0.096
Si2 Si 0.904 0.904 0.596
```

(2)
Diffraction record for CsHoTe2O8. The powder X-ray diffraction pattern is simulated, not measured: it uses a DFT-relaxed cell (GGA-PBE, OQMD) and Cu Kα X-rays.
Intensities are scaled so that the largest is 100.

Principal peaks in the range 10 to 90 degrees two-theta, by intensity:
two_theta  d [Å]  I_rel
28.43  3.139  100
20.56  4.320  95
30.01  2.977  84
41.82  2.160  44
52.33  1.748  37
55.80  1.648  33

Structural model:
```
data_CsHoTe2O8
_chemical_formula_sum 'Cs1 Ho1 Te2 O8'
_space_group_name_H-M_alt 'P 1'
_space_group_IT_number 1
_cell_length_a 5.954
_cell_length_b 5.954
_cell_length_c 7.913
_cell_angle_alpha 90.00
_cell_angle_beta 90.00
_cell_angle_gamma 120.00
loop_
_space_group_symop_operation_xyz
'x,y,z'
loop_
_atom_site_label
_atom_site_type_symbol
_atom_site_fract_x
_atom_site_fract_y
_atom_site_fract_z
Cs1 Cs 0.000 0.000 0.000
Ho1 Ho 0.000 0.000 0.500
Te1 Te 0.333 0.667 0.244
Te2 Te 0.667 0.333 0.756
O1 O 0.168 0.336 0.328
O2 O 0.168 0.832 0.328
O3 O 0.333 0.667 0.014
O4 O 0.336 0.168 0.672
O5 O 0.664 0.832 0.328
O6 O 0.667 0.333 0.986
O7 O 0.832 0.168 0.672
O8 O 0.832 0.664 0.672
```

(3)
Diffraction record for GdDyTlPd2. The powder X-ray diffraction pattern is simulated, not measured: it uses a DFT-relaxed cell (GGA-PBE, OQMD) and Cu Kα X-rays.
Intensities are scaled so that the largest is 100.

Principal peaks in the range 10 to 90 degrees two-theta, by intensity:
two_theta  d [Å]  I_rel
33.14  2.703  100
34.00  2.636  54
36.83  2.440  49
43.83  2.065  26
56.61  1.626  25
27.92  3.195  22

Structural model:
```
data_GdDyTlPd2
_chemical_formula_sum 'Gd1 Dy1 Tl1 Pd2'
_space_group_name_H-M_alt 'P 1'
_space_group_IT_number 1
_cell_length_a 3.679
_cell_length_b 7.838
_cell_length_c 7.838
_cell_angle_alpha 30.56
_cell_angle_beta 90.00
_cell_angle_gamma 90.00
loop_
_space_group_symop_operation_xyz
'x,y,z'
loop_
_atom_site_label
_atom_site_type_symbol
_atom_site_fract_x
_atom_site_fract_y
_atom_site_fract_z
Gd1 Gd 0.000 0.000 0.000
Dy1 Dy 0.000 0.732 0.732
Tl1 Tl 0.500 0.366 0.366
Pd1 Pd 0.500 0.176 0.176
Pd2 Pd 0.500 0.558 0.558
```

(4)
Diffraction record for RbCoPSe4. The powder X-ray diffraction pattern is simulated, not measured: it uses a DFT-relaxed cell (GGA-PBE, OQMD) and Cu Kα X-rays.
Intensities are scaled so that the largest is 100.

Principal peaks in the range 10 to 90 degrees two-theta, by intensity:
two_theta  d [Å]  I_rel
24.58  3.622  100
31.63  2.829  81
14.84  5.970  65
51.86  1.763  53
35.15  2.553  38
44.13  2.052  37

Structural model:
```
data_RbCoPSe4
_chemical_formula_sum 'Rb2 Co2 P2 Se8'
_space_group_name_H-M_alt 'P 1'
_space_group_IT_number 1
_cell_length_a 8.760
_cell_length_b 8.760
_cell_length_c 8.760
_cell_angle_alpha 122.38
_cell_angle_beta 122.38
_cell_angle_gamma 85.92
loop_
_space_group_symop_operation_xyz
'x,y,z'
loop_
_atom_site_label
_atom_site_type_symbol
_atom_site_fract_x
_atom_site_fract_y
_atom_site_fract_z
Rb1 Rb 0.250 0.250 0.000
Rb2 Rb 0.750 0.750 0.000
Co1 Co 0.000 0.500 0.500
Co2 Co 0.500 0.000 0.500
P1 P 0.250 0.750 0.500
P2 P 0.750 0.250 0.500
Se1 Se 0.007 0.507 0.775
Se2 Se 0.233 0.007 0.500
Se3 Se 0.267 0.767 0.775
Se4 Se 0.493 0.267 0.500
Se5 Se 0.507 0.733 0.500
Se6 Se 0.733 0.233 0.225
Se7 Se 0.767 0.993 0.500
Se8 Se 0.993 0.493 0.225
```

(5)
Diffraction record for Cd3PBr3. The powder X-ray diffraction pattern is simulated, not measured: it uses a DFT-relaxed cell (GGA-PBE, OQMD) and Cu Kα X-rays.
Intensities are scaled so that the largest is 100.

Principal peaks in the range 10 to 90 degrees two-theta, by intensity:
two_theta  d [Å]  I_rel
28.59  3.122  100
45.51  1.993  58
35.77  2.510  53
25.45  3.500  47
43.51  2.080  31
17.67  5.021  25

Structural model:
```
data_Cd3PBr3
_chemical_formula_sum 'Cd6 P2 Br6'
_space_group_name_H-M_alt 'P 1'
_space_group_IT_number 1
_cell_length_a 7.973
_cell_length_b 7.973
_cell_length_c 7.314
_cell_angle_alpha 90.00
_cell_angle_beta 90.00
_cell_angle_gamma 120.00
loop_
_space_group_symop_operation_xyz
'x,y,z'
loop_
_atom_site_label
_atom_site_type_symbol
_atom_site_fract_x
_atom_site_fract_y
_atom_site_fract_z
Cd1 Cd 0.000 0.000 0.000
Cd2 Cd 0.000 0.500 0.500
Cd3 Cd 0.333 0.667 0.023
Cd4 Cd 0.500 0.000 0.500
Cd5 Cd 0.500 0.500 0.500
Cd6 Cd 0.667 0.333 0.977
P1 P 0.333 0.667 0.364
P2 P 0.667 0.333 0.636
Br1 Br 0.170 0.341 0.797
Br2 Br 0.170 0.830 0.797
Br3 Br 0.341 0.170 0.203
Br4 Br 0.659 0.830 0.797
Br5 Br 0.830 0.170 0.203
Br6 Br 0.830 0.659 0.203
```

(6)
Diffraction record for Tb2HoCu4Sn2Ge2. The powder X-ray diffraction pattern is simulated, not measured: it uses a DFT-relaxed cell (GGA-PBE, OQMD) and Cu Kα X-rays.
Intensities are scaled so that the largest is 100.

Principal peaks in the range 10 to 90 degrees two-theta, by intensity:
two_theta  d [Å]  I_rel
33.80  2.652  100
35.00  2.564  70
41.93  2.155  32
43.55  2.078  26
37.55  2.395  24
46.13  1.968  24

Structural model:
```
data_Tb2HoCu4Sn2Ge2
_chemical_formula_sum 'Tb2 Ho1 Cu4 Sn2 Ge2'
_space_group_name_H-M_alt 'P 1'
_space_group_IT_number 1
_cell_length_a 8.264
_cell_length_b 8.264
_cell_length_c 8.264
_cell_angle_alpha 149.77
_cell_angle_beta 130.50
_cell_angle_gamma 59.10
loop_
_space_group_symop_operation_xyz
'x,y,z'
loop_
_atom_site_label
_atom_site_type_symbol
_atom_site_fract_x
_atom_site_fract_y
_atom_site_fract_z
Tb1 Tb 0.136 0.136 0.000
Tb2 Tb 0.864 0.864 0.000
Ho1 Ho 0.500 0.000 0.500
Cu1 Cu 0.137 0.324 0.813
Cu2 Cu 0.489 0.676 0.813
Cu3 Cu 0.511 0.324 0.187
Cu4 Cu 0.863 0.676 0.187
Sn1 Sn 0.203 0.500 0.703
Sn2 Sn 0.797 0.500 0.297
Ge1 Ge 0.284 0.784 0.500
Ge2 Ge 0.716 0.216 0.500
```

(7)
Diffraction record for HfNb2C3. The powder X-ray diffraction pattern is simulated, not measured: it uses a DFT-relaxed cell (GGA-PBE, OQMD) and Cu Kα X-rays.
Intensities are scaled so that the largest is 100.

Principal peaks in the range 10 to 90 degrees two-theta, by intensity:
two_theta  d [Å]  I_rel
34.17  2.624  100
39.66  2.273  68
68.43  1.371  30
57.39  1.605  23
57.28  1.608  22
11.26  7.858  14

Structural model:
```
data_HfNb2C3
_chemical_formula_sum 'Hf1 Nb2 C3'
_space_group_name_H-M_alt 'P 1'
_space_group_IT_number 1
_cell_length_a 3.217
_cell_length_b 3.217
_cell_length_c 7.858
_cell_angle_alpha 90.00
_cell_angle_beta 90.00
_cell_angle_gamma 120.00
loop_
_space_group_symop_operation_xyz
'x,y,z'
loop_
_atom_site_label
_atom_site_type_symbol
_atom_site_fract_x
_atom_site_fract_y
_atom_site_fract_z
Hf1 Hf 0.000 0.000 0.000
Nb1 Nb 0.333 0.667 0.660
Nb2 Nb 0.667 0.333 0.340
C1 C 0.000 0.000 0.500
C2 C 0.333 0.667 0.171
C3 C 0.667 0.333 0.829
```

(8)
Diffraction record for GdLu2Ag4Ge4. The powder X-ray diffraction pattern is simulated, not measured: it uses a DFT-relaxed cell (GGA-PBE, OQMD) and Cu Kα X-rays.
Intensities are scaled so that the largest is 100.

Principal peaks in the range 10 to 90 degrees two-theta, by intensity:
two_theta  d [Å]  I_rel
33.19  2.699  100
34.88  2.573  96
42.30  2.137  41
37.68  2.387  37
42.20  2.142  36
33.48  2.676  29

Structural model:
```
data_GdLu2Ag4Ge4
_chemical_formula_sum 'Gd1 Lu2 Ag4 Ge4'
_space_group_name_H-M_alt 'P 1'
_space_group_IT_number 1
_cell_length_a 8.333
_cell_length_b 8.333
_cell_length_c 8.333
_cell_angle_alpha 150.29
_cell_angle_beta 128.99
_cell_angle_gamma 60.16
loop_
_space_group_symop_operation_xyz
'x,y,z'
loop_
_atom_site_label
_atom_site_type_symbol
_atom_site_fract_x
_atom_site_fract_y
_atom_site_fract_z
Gd1 Gd 0.000 0.000 0.000
Lu1 Lu 0.375 0.875 0.500
Lu2 Lu 0.625 0.125 0.500
Ag1 Ag 0.029 0.331 0.699
Ag2 Ag 0.368 0.669 0.699
Ag3 Ag 0.632 0.331 0.301
Ag4 Ag 0.971 0.669 0.301
Ge1 Ge 0.219 0.219 0.000
Ge2 Ge 0.319 0.500 0.819
Ge3 Ge 0.681 0.500 0.181
Ge4 Ge 0.781 0.781 0.000
```

(9)
Diffraction record for LaPr3As2Br2. The powder X-ray diffraction pattern is simulated, not measured: it uses a DFT-relaxed cell (GGA-PBE, OQMD) and Cu Kα X-rays.
Intensities are scaled so that the largest is 100.

Principal peaks in the range 10 to 90 degrees two-theta, by intensity:
two_theta  d [Å]  I_rel
30.17  2.962  100
42.56  2.124  44
34.17  2.624  22
53.05  1.726  20
43.83  2.066  18
70.26  1.340  17

Structural model:
```
data_LaPr3As2Br2
_chemical_formula_sum 'La1 Pr3 As2 Br2'
_space_group_name_H-M_alt 'P 1'
_space_group_IT_number 1
_cell_length_a 4.249
_cell_length_b 4.249
_cell_length_c 14.977
_cell_angle_alpha 90.00
_cell_angle_beta 90.00
_cell_angle_gamma 120.00
loop_
_space_group_symop_operation_xyz
'x,y,z'
loop_
_atom_site_label
_atom_site_type_symbol
_atom_site_fract_x
_atom_site_fract_y
_atom_site_fract_z
La1 La 0.000 0.000 0.000
Pr1 Pr 0.000 0.000 0.289
Pr2 Pr 0.667 0.333 0.499
Pr3 Pr 0.667 0.333 0.786
As1 As 0.333 0.667 0.394
As2 As 0.333 0.667 0.891
Br1 Br 0.000 0.000 0.642
Br2 Br 0.667 0.333 0.146
```

(10)
Diffraction record for HfZrCoSi2. The powder X-ray diffraction pattern is simulated, not measured: it uses a DFT-relaxed cell (GGA-PBE, OQMD) and Cu Kα X-rays.
Intensities are scaled so that the largest is 100.

Principal peaks in the range 10 to 90 degrees two-theta, by intensity:
two_theta  d [Å]  I_rel
36.53  2.460  100
25.19  3.535  48
37.29  2.411  43
40.20  2.243  40
36.08  2.490  29
46.93  1.936  29

Structural model:
```
data_HfZrCoSi2
_chemical_formula_sum 'Hf2 Zr2 Co2 Si4'
_space_group_name_H-M_alt 'P 1'
_space_group_IT_number 1
_cell_length_a 5.293
_cell_length_b 5.293
_cell_length_c 9.395
_cell_angle_alpha 116.31
_cell_angle_beta 116.31
_cell_angle_gamma 42.92
loop_
_space_group_symop_operation_xyz
'x,y,z'
loop_
_atom_site_label
_atom_site_type_symbol
_atom_site_fract_x
_atom_site_fract_y
_atom_site_fract_z
Hf1 Hf 0.001 0.001 0.174
Hf2 Hf 0.999 0.999 0.826
Zr1 Zr 0.188 0.188 0.601
Zr2 Zr 0.812 0.812 0.399
Co1 Co 0.277 0.277 0.126
Co2 Co 0.723 0.723 0.874
Si1 Si 0.357 0.357 0.930
Si2 Si 0.488 0.488 0.625
Si3 Si 0.512 0.512 0.375
Si4 Si 0.643 0.643 0.070
```

What did the ninth record say?
Diffraction record for LaPr3As2Br2. The powder X-ray diffraction pattern is simulated, not measured: it uses a DFT-relaxed cell (GGA-PBE, OQMD) and Cu Kα X-rays.
Intensities are scaled so that the largest is 100.

Principal peaks in the range 10 to 90 degrees two-theta, by intensity:
two_theta  d [Å]  I_rel
30.17  2.962  100
42.56  2.124  44
34.17  2.624  22
53.05  1.726  20
43.83  2.066  18
70.26  1.340  17

Structural model:
```
data_LaPr3As2Br2
_chemical_formula_sum 'La1 Pr3 As2 Br2'
_space_group_name_H-M_alt 'P 1'
_space_group_IT_number 1
_cell_length_a 4.249
_cell_length_b 4.249
_cell_length_c 14.977
_cell_angle_alpha 90.00
_cell_angle_beta 90.00
_cell_angle_gamma 120.00
loop_
_space_group_symop_operation_xyz
'x,y,z'
loop_
_atom_site_label
_atom_site_type_symbol
_atom_site_fract_x
_atom_site_fract_y
_atom_site_fract_z
La1 La 0.000 0.000 0.000
Pr1 Pr 0.000 0.000 0.289
Pr2 Pr 0.667 0.333 0.499
Pr3 Pr 0.667 0.333 0.786
As1 As 0.333 0.667 0.394
As2 As 0.333 0.667 0.891
Br1 Br 0.000 0.000 0.642
Br2 Br 0.667 0.333 0.146
```